(1)
For Cs2CoPdS4, the PBE geometry in Alexandria gives the computed X-ray diffraction stick pattern in this record (Cu Kα, 1.54184 Å).

Main lines, sorted by position (15° ≤ 2θ ≤ 90°):
2θ (°)	d_spacing	Rel. int.
20.36	4.363	31
25.26	3.525	67
25.68	3.469	100
27.16	3.283	60
31.08	2.878	61
34.41	2.606	44
39.28	2.294	44
44.76	2.025	31
47.28	1.923	37
50.67	1.802	31

Crystal structure
Lattice parameters (Å, degrees): 13.8798 12.2799 7.5889 85.16 61.83 33.01
Sites, in units of the cell vectors:
Cs  0.0536  0.0536  0.6964
Cs  0.3036  0.3036  0.9464
Cs  0.6964  0.6964  0.0536
Cs  0.9464  0.9464  0.3036
Co  0.3750  0.3750  0.3750
Co  0.6250  0.6250  0.6250
Pd  0.1250  0.1250  0.1250
Pd  0.8750  0.8750  0.8750
S  0.0161  0.6302  0.5597
S  0.2940  0.5597  0.6302
S  0.3698  0.9839  0.7060
S  0.4403  0.7060  0.9839
S  0.5597  0.2940  0.0161
S  0.6302  0.0161  0.2940
S  0.7060  0.4403  0.3698
S  0.9839  0.3698  0.4403

=====

(2)
For Cs2VCoS4, the PBE geometry in Alexandria gives the computed X-ray diffraction stick pattern in this record (Cu Kα, 1.54184 Å).

Main lines, sorted by position (15° ≤ 2θ ≤ 90°):
2θ (°)	d_spacing	Rel. int.
20.38	4.357	57
24.71	3.603	100
25.23	3.530	52
27.17	3.283	95
30.73	2.910	46
35.19	2.551	33
39.34	2.290	38
44.14	2.052	27
47.29	1.922	41
51.21	1.784	27

Crystal structure
Lattice parameters (Å, degrees): 14.4156 12.8633 7.5704 85.59 62.83 31.57
Sites, in units of the cell vectors:
Cs  0.0503  0.0503  0.6997
Cs  0.3003  0.3003  0.9497
Cs  0.6997  0.6997  0.0503
Cs  0.9497  0.9497  0.3003
V  0.1250  0.1250  0.1250
V  0.8750  0.8750  0.8750
Co  0.3750  0.3750  0.3750
Co  0.6250  0.6250  0.6250
S  0.0160  0.3315  0.4089
S  0.2565  0.5911  0.6685
S  0.3315  0.0160  0.7435
S  0.4089  0.7435  0.0160
S  0.5911  0.2565  0.9840
S  0.6685  0.9840  0.2565
S  0.7435  0.4089  0.3315
S  0.9840  0.6685  0.5911